Entry 1:
Diffraction record for Tb12Pm5Dy. The PXRD pattern is theoretical, not measured: it uses DFT lattice parameters and positions (PBE) and Cu Kα X-rays.
Lines closer than 0.1° are merged.

Structural model:
a b c (Å): 10.447 10.447 5.756
angles (deg): 90.01 90.01 110.92
Sites, in units of the cell vectors:
Tb1 0.027 0.667 0.000
Tb2 0.167 0.526 0.499
Tb3 0.202 0.202 0.501
Tb4 0.301 0.301 0.001
Tb5 0.333 0.973 0.000
Tb6 0.474 0.833 0.501
Tb7 0.526 0.167 0.499
Tb8 0.667 0.027 0.000
Tb9 0.699 0.699 0.999
Tb10 0.798 0.798 0.499
Tb11 0.833 0.474 0.501
Tb12 0.973 0.333 0.000
Pm1 0.000 0.000 0.000
Pm2 0.138 0.862 0.500
Pm3 0.364 0.636 0.000
Pm4 0.636 0.364 0.000
Pm5 0.862 0.138 0.500
Dy1 0.500 0.500 0.500

Main lines, in order of rising 2θ (2θ from 5° to 70°):
2θ = 31.1°, I = 33; 2θ = 31.2°, I = 36; 2θ = 31.6°, I = 100; 2θ = 32.0°, I = 8; 2θ = 44.6°, I = 17; 2θ = 55.6°, I = 23; 2θ = 55.7°, I = 9; 2θ = 56.5°, I = 12; 2θ = 62.3°, I = 8; 2θ = 63.3°, I = 8


Entry 2:
Diffraction record for TbPm5Dy3. The PXRD pattern is theoretical, not measured: it uses DFT lattice parameters and positions (PBE) and Cu Kα X-rays.
Lines closer than 0.1° are merged.

Structural model:
a b c (Å): 9.966 9.966 7.300
angles (deg): 90.00 90.00 56.01
Sites, in units of the cell vectors:
Tb1 0.171 0.829 0.750
Tb2 0.829 0.171 0.250
Pm1 0.012 0.660 0.001
Pm2 0.012 0.660 0.499
Pm3 0.196 0.804 0.250
Pm4 0.340 0.988 0.001
Pm5 0.340 0.988 0.499
Pm6 0.660 0.012 0.501
Pm7 0.660 0.012 0.999
Pm8 0.804 0.196 0.750
Pm9 0.988 0.340 0.501
Pm10 0.988 0.340 0.999
Dy1 0.321 0.322 0.750
Dy2 0.322 0.321 0.250
Dy3 0.500 0.500 0.000
Dy4 0.500 0.500 0.500
Dy5 0.678 0.679 0.750
Dy6 0.679 0.678 0.250

Main lines, in order of rising 2θ (2θ from 5° to 70°):
2θ = 29.1°, I = 37; 2θ = 30.4°, I = 100; 2θ = 32.7°, I = 37; 2θ = 37.3°, I = 19; 2θ = 38.6°, I = 21; 2θ = 50.0°, I = 10; 2θ = 52.3°, I = 11; 2θ = 54.1°, I = 11; 2θ = 57.5°, I = 18; 2θ = 59.7°, I = 11